MgVAgF6: computed X-ray powder pattern (Cu Kα, 1.54184 Å), based on a crystal structure in Alexandria, relaxed with GGA+U.
Kinematic intensities with the Lorentz-polarization factor, no thermal factor.

Most intense lines, 2θ = 10–90°, sorted by position:
2θ/deg	I (rel.)	h k l
19.1	14	1 0 0
25.8	100	1 0 2
33.3	18	1 1 0
37.7	17	2 -1 2
39.9	10	1 0 4
42.6	21	2 0 2
48.9	38	1 1 4
55.1	22	2 1 2
59.6	14	3 0 0
75.9	9	4 -1 2

Structure:
abc: 5.3773 5.3773 10.3235
angles: 90.00 90.00 120.00
Element x y z (fractional)
Mg 0.3333 0.6667 0.2500
Mg 0.6667 0.3333 0.7500
V 0.3333 0.6667 0.7500
V 0.6667 0.3333 0.2500
Ag 0.0000 0.0000 0.0000
Ag 0.0000 0.0000 0.5000
F 0.0046 0.3743 0.6470
F 0.0046 0.6303 0.8530
F 0.3697 0.3743 0.8530
F 0.3697 0.9954 0.6470
F 0.3743 0.0046 0.1470
F 0.3743 0.3697 0.3530
F 0.6257 0.6303 0.6470
F 0.6257 0.9954 0.8530
F 0.6303 0.0046 0.3530
F 0.6303 0.6257 0.1470
F 0.9954 0.3697 0.1470
F 0.9954 0.6257 0.3530